Record 1
Structure and computed X-ray diffraction stick pattern of Li2V3S6 (a crystal structure in Alexandria, relaxed with PBE; Cu Kα X-rays).
Lines closer than 0.1° are merged.

Structure:
```
11
Lattice="2.858 -4.979 0.000 2.858 4.979 0.000 -1.769 0.000 6.313" Properties=species:S:1:pos:R:3 pbc="T T T"
Li 2.858 3.237 0.000
Li 2.858 -3.237 0.000
V -0.885 0.000 3.156
V 1.973 1.482 3.156
V 1.973 -1.482 3.156
S 0.066 1.688 4.555
S 1.015 0.000 1.649
S 0.066 -1.688 4.555
S 3.880 1.688 1.758
S 2.931 0.000 4.664
S 3.880 -1.688 1.758
```

Main lines, by angle (2θ = 10–90°):
| two_theta | d (Å) | I/Imax |
| --- | --- | --- |
| 14.03 | 6.313 | 100 |
| 31.47 | 2.842 | 13 |
| 31.78 | 2.816 | 9 |
| 36.43 | 2.466 | 72 |
| 37.10 | 2.423 | 36 |
| 45.84 | 1.979 | 12 |
| 49.47 | 1.842 | 14 |
| 50.22 | 1.817 | 25 |
| 55.35 | 1.660 | 9 |
| 55.63 | 1.652 | 19 |
| 57.40 | 1.605 | 8 |
| 68.53 | 1.369 | 9 |

Record 2
Structure and computed X-ray diffraction stick pattern of LiV4S8 (a crystal structure in Alexandria, relaxed with PBE; Cu Kα X-rays).
Lines closer than 0.1° are merged.

Structure:
```
13
Lattice="5.545 -3.202 0.000 5.545 3.202 0.000 -5.501 0.000 6.478" Properties=species:S:1:pos:R:3 pbc="T T T"
Li 0.000 0.000 0.000
V 0.044 0.000 3.250
V 2.795 1.566 3.239
V 2.795 -1.566 3.239
V 5.546 0.000 3.228
S -3.666 0.000 4.686
S -0.906 1.595 4.708
S 3.718 0.000 1.758
S 6.495 1.595 1.769
S -0.906 -1.595 4.708
S 1.871 0.000 4.719
S 6.495 -1.595 1.769
S 9.255 0.000 1.792
```

Main lines, by angle (2θ = 10–90°):
| two_theta | d (Å) | I/Imax |
| --- | --- | --- |
| 13.67 | 6.478 | 100 |
| 35.12 | 2.555 | 26 |
| 35.25 | 2.546 | 52 |
| 42.82 | 2.112 | 26 |
| 43.03 | 2.102 | 33 |
| 53.71 | 1.707 | 18 |
| 54.01 | 1.698 | 9 |
| 56.85 | 1.619 | 6 |
| 57.57 | 1.601 | 22 |
| 69.25 | 1.357 | 6 |
| 74.32 | 1.276 | 5 |
| 82.87 | 1.165 | 5 |